# 1
Calculated powder diffractogram of K3Nd3NpS8 for Cu Ka, from DFT lattice parameters and positions (GGA-PBE).
Lines closer than 0.1° are merged.

Peak list (6 most intense, 2θ from 5° to 70°, most intense first)
2θ/deg  Rel. int.
11.83  100.0
29.48  98.6
25.05  35.6
43.55  35.1
40.79  34.7
25.99  34.1

Structure:
abc: 8.886 8.886 8.886
angles: 55.78 55.78 55.78
Positions (direct):
K: 0.000 0.500 0.500
K: 0.500 0.000 0.500
K: 0.500 0.500 0.000
Nd: 0.000 0.000 0.500
Nd: 0.000 0.500 0.000
Nd: 0.500 0.000 0.000
Np: 0.500 0.500 0.500
S: 0.236 0.236 0.236
S: 0.247 0.725 0.725
S: 0.275 0.275 0.753
S: 0.275 0.753 0.275
S: 0.725 0.247 0.725
S: 0.725 0.725 0.247
S: 0.753 0.275 0.275
S: 0.764 0.764 0.764


# 2
Calculated powder diffractogram of K14Nd2O9 for Cu Ka, from DFT lattice parameters and positions (GGA-PBE).
Lines closer than 0.1° are merged.

Peak list (6 most intense, 2θ from 5° to 70°, most intense first)
2θ/deg  Rel. int.
27.63  100.0
15.16  92.7
35.49  61.7
39.63  56.7
27.16  51.4
27.38  47.1

Structure:
abc: 7.936 7.936 11.099
angles: 90.00 90.00 120.00
Positions (direct):
K: 0.000 0.000 0.246
K: 0.000 0.000 0.754
K: 0.056 0.687 0.911
K: 0.102 0.380 0.591
K: 0.278 0.898 0.591
K: 0.313 0.368 0.911
K: 0.368 0.056 0.089
K: 0.380 0.278 0.409
K: 0.620 0.722 0.591
K: 0.632 0.944 0.911
K: 0.687 0.632 0.089
K: 0.722 0.102 0.409
K: 0.898 0.620 0.409
K: 0.944 0.313 0.089
Nd: 0.333 0.667 0.271
Nd: 0.667 0.333 0.729
O: 0.000 0.000 0.000
O: 0.105 0.368 0.342
O: 0.263 0.895 0.342
O: 0.333 0.667 0.065
O: 0.368 0.263 0.658
O: 0.632 0.737 0.342
O: 0.667 0.333 0.935
O: 0.737 0.105 0.658
O: 0.895 0.632 0.658


# 3
Calculated powder diffractogram of K2NdP5O15 for Cu Ka, from DFT lattice parameters and positions (GGA-PBE).
Lines closer than 0.1° are merged.

Peak list (6 most intense, 2θ from 5° to 70°, most intense first)
2θ/deg  Rel. int.
26.60  100.0
25.90  62.1
24.96  49.3
12.84  30.2
14.38  28.0
32.94  21.0

Structure:
abc: 7.260 7.260 13.437
angles: 90.42 90.42 108.22
Positions (direct):
K: 0.115 0.885 0.500
K: 0.363 0.976 0.802
K: 0.885 0.115 0.000
K: 0.976 0.363 0.302
Nd: 0.581 0.770 0.308
Nd: 0.770 0.581 0.808
P: 0.069 0.671 0.047
P: 0.115 0.901 0.231
P: 0.228 0.481 0.716
P: 0.288 0.442 0.499
P: 0.442 0.288 0.999
P: 0.481 0.228 0.216
P: 0.493 0.708 0.029
P: 0.671 0.069 0.547
P: 0.708 0.493 0.529
P: 0.901 0.115 0.731
O: 0.022 0.485 0.102
O: 0.047 0.847 0.117
O: 0.111 0.590 0.768
O: 0.127 0.246 0.723
O: 0.151 0.254 0.464
O: 0.211 0.522 0.599
O: 0.237 0.782 0.268
O: 0.246 0.127 0.223
O: 0.254 0.151 0.964
O: 0.296 0.762 0.019
O: 0.338 0.611 0.428
O: 0.404 0.479 0.042
O: 0.435 0.519 0.748
O: 0.479 0.404 0.542
O: 0.485 0.022 0.602
O: 0.519 0.435 0.248
O: 0.522 0.211 0.099
O: 0.590 0.111 0.268
O: 0.597 0.761 0.932
O: 0.597 0.796 0.123
O: 0.611 0.338 0.928
O: 0.683 0.960 0.453
O: 0.761 0.597 0.432
O: 0.762 0.296 0.519
O: 0.782 0.237 0.768
O: 0.796 0.597 0.623
O: 0.847 0.047 0.617
O: 0.902 0.937 0.787
O: 0.937 0.902 0.287
O: 0.960 0.683 0.953


# 4
Calculated powder diffractogram of KNdPtO3 for Cu Ka, from DFT lattice parameters and positions (GGA-PBE).
Lines closer than 0.1° are merged.

Peak list (6 most intense, 2θ from 5° to 70°, most intense first)
2θ/deg  Rel. int.
32.33  100.0
30.62  75.7
11.90  64.0
13.74  48.0
30.79  46.3
31.54  42.2

Structure:
abc: 6.975 6.975 7.712
angles: 104.75 104.75 33.15
Positions (direct):
K: 0.142 0.142 0.064
K: 0.858 0.858 0.936
Nd: 0.150 0.150 0.580
Nd: 0.850 0.850 0.420
Pt: 0.493 0.493 0.724
Pt: 0.507 0.507 0.276
O: 0.007 0.007 0.316
O: 0.331 0.331 0.633
O: 0.347 0.347 0.223
O: 0.653 0.653 0.777
O: 0.669 0.669 0.367
O: 0.993 0.993 0.684


# 5
Calculated powder diffractogram of K4Nd3PtO8 for Cu Ka, from DFT lattice parameters and positions (GGA-PBE).
Lines closer than 0.1° are merged.

Peak list (6 most intense, 2θ from 5° to 70°, most intense first)
2θ/deg  Rel. int.
13.86  100.0
30.32  82.8
35.81  62.9
31.65  42.9
27.93  36.9
50.11  32.6

Structure:
abc: 7.336 7.336 7.310
angles: 115.37 115.37 56.26
Positions (direct):
K: 0.000 0.000 0.000
K: 0.000 0.500 0.000
K: 0.500 0.000 0.000
K: 0.500 0.500 0.000
Nd: 0.000 0.000 0.500
Nd: 0.000 0.500 0.500
Nd: 0.500 0.000 0.500
Pt: 0.500 0.500 0.500
O: 0.214 0.214 0.260
O: 0.214 0.214 0.689
O: 0.255 0.688 0.665
O: 0.312 0.745 0.335
O: 0.688 0.255 0.665
O: 0.745 0.312 0.335
O: 0.786 0.786 0.311
O: 0.786 0.786 0.740


# 6
Calculated powder diffractogram of K2NdPtO4 for Cu Ka, from DFT lattice parameters and positions (GGA-PBE).
Lines closer than 0.1° are merged.

Peak list (6 most intense, 2θ from 5° to 70°, most intense first)
2θ/deg  Rel. int.
14.07  100.0
14.23  84.3
24.59  42.1
33.93  29.1
30.71  25.7
43.72  20.5

Structure:
abc: 14.481 12.983 7.839
angles: 84.27 63.13 32.59
Positions (direct):
K: 0.075 0.075 0.675
K: 0.325 0.325 0.925
K: 0.675 0.675 0.075
K: 0.925 0.925 0.325
Nd: 0.125 0.125 0.125
Nd: 0.875 0.875 0.875
Pt: 0.375 0.375 0.375
Pt: 0.625 0.625 0.625
O: 0.052 0.700 0.500
O: 0.248 0.500 0.700
O: 0.300 0.948 0.752
O: 0.500 0.248 0.052
O: 0.500 0.752 0.948
O: 0.700 0.052 0.248
O: 0.752 0.500 0.300
O: 0.948 0.300 0.500


# 7
Calculated powder diffractogram of KNd2PuO6 for Cu Ka, from DFT lattice parameters and positions (GGA-PBE).
Lines closer than 0.1° are merged.

Peak list (6 most intense, 2θ from 5° to 70°, most intense first)
2θ/deg  Rel. int.
29.23  100.0
27.91  83.8
17.65  47.0
45.05  44.7
51.02  35.3
40.86  33.6

Structure:
abc: 6.408 6.408 6.408
angles: 56.94 56.94 56.94
Positions (direct):
K: 0.000 0.000 0.000
Nd: 0.260 0.260 0.260
Nd: 0.776 0.776 0.776
Pu: 0.468 0.468 0.468
O: 0.096 0.612 0.431
O: 0.205 0.540 0.845
O: 0.431 0.096 0.612
O: 0.540 0.845 0.205
O: 0.612 0.431 0.096
O: 0.845 0.205 0.540


# 8
Calculated powder diffractogram of KNdPuO4 for Cu Ka, from DFT lattice parameters and positions (GGA-PBE).
Lines closer than 0.1° are merged.

Peak list (6 most intense, 2θ from 5° to 70°, most intense first)
2θ/deg  Rel. int.
14.89  100.0
35.20  59.0
29.29  54.4
30.04  39.2
50.64  38.0
30.68  36.8

Structure:
abc: 7.212 7.212 7.212
angles: 120.99 118.94 90.07
Positions (direct):
K: 0.372 0.122 0.250
K: 0.628 0.878 0.750
Nd: 0.000 0.500 0.500
Nd: 0.500 0.500 0.000
Pu: 0.000 0.000 0.500
Pu: 0.000 0.500 0.000
O: 0.179 0.735 0.444
O: 0.210 0.265 0.944
O: 0.216 0.253 0.537
O: 0.216 0.680 0.963
O: 0.784 0.320 0.037
O: 0.784 0.747 0.463
O: 0.790 0.735 0.056
O: 0.821 0.265 0.556